This entry pairs a crystal structure of Sm7Er4Pu with its theoretical powder diffractogram. Radiation: Cu Kα (weighted mean of Kα1 and Kα2). Structure: a DFT-relaxed cell (PBE, Alexandria).

Main lines, in order of falling intensity (5 to 70 degrees two-theta):
2θ/deg	I_rel	index
33.59	100	2 0 1
31.86	77	1 2 1
31.13	56	0 0 3
28.87	44	1 2 0
31.95	38	2 0 -2
50.81	29	3 2 -1
60.70	25	3 -2 2
60.82	25	3 2 2
58.06	21	2 0 4
40.21	19	2 0 2

Structure:
abc: 6.2199 7.2044 8.8627
angles: 90.00 103.44 90.05
Space group P-1 (No. 2)
Symmetry-distinct sites (fractional):
1 Sm 0.0000 0.0000 0.0000 [1 per cell]
2 Sm 0.2181 0.5000 0.6664 [2 per cell]
3 Sm 0.2243 0.0000 0.6617 [2 per cell]
4 Sm 0.4999 0.2535 0.0000 [2 per cell]
5 Er 0.2766 0.2529 0.3302 [2 per cell]
6 Er 0.2766 0.7471 0.3301 [2 per cell]
7 Pu 0.0000 0.5000 0.0000 [1 per cell]